(1)
The following is a calculated powder XRD pattern of Ti5V2H4. It was derived from DFT lattice parameters and positions (GGA-PBE), using Cu Ka.
Neutral-atom scattering factors, no anomalous dispersion.

Main lines, low angle first (2θ from 10° to 90°):
- 38.3°, I = 61
- 38.5°, I = 100
- 38.8°, I = 54
- 39.8°, I = 40
- 42.7°, I = 50
- 53.6°, I = 13
- 57.4°, I = 17
- 59.9°, I = 16
- 82.3°, I = 12
- 82.4°, I = 15

Structure:
a = 7.292 Å, b = 7.292 Å, c = 7.085 Å
α = 119.05°, β = 119.05°, γ = 21.37°
Fractional positions:
1 Ti 0.000 0.000 0.000
2 Ti 0.282 0.282 0.859
3 Ti 0.359 0.359 0.557
4 Ti 0.641 0.641 0.443
5 Ti 0.718 0.718 0.141
6 V 0.070 0.070 0.703
7 V 0.930 0.930 0.297
8 H 0.150 0.150 0.242
9 H 0.437 0.437 0.112
10 H 0.563 0.563 0.888
11 H 0.850 0.850 0.758

***

(2)
The following is a calculated powder XRD pattern of Ti3VH7. It was derived from DFT lattice parameters and positions (GGA-PBE), using Cu Ka.
Neutral-atom scattering factors, no anomalous dispersion.

Main lines, low angle first (2θ from 10° to 90°):
- 36.0°, I = 100
- 36.4°, I = 98
- 39.5°, I = 72
- 46.8°, I = 20
- 56.6°, I = 13
- 57.6°, I = 12
- 62.9°, I = 33
- 69.2°, I = 25
- 69.9°, I = 24
- 76.4°, I = 8

Structure:
a = 5.029 Å, b = 5.029 Å, c = 6.501 Å
α = 90.00°, β = 90.00°, γ = 78.97°
Fractional positions:
1 Ti 0.000 0.000 0.000
2 Ti 0.000 0.000 0.500
3 Ti 0.023 0.508 0.750
4 Ti 0.492 0.977 0.750
5 Ti 0.508 0.023 0.250
6 Ti 0.977 0.492 0.250
7 V 0.500 0.500 0.000
8 V 0.500 0.500 0.500
9 H 0.125 0.131 0.750
10 H 0.131 0.125 0.250
11 H 0.136 0.615 0.014
12 H 0.136 0.615 0.486
13 H 0.385 0.864 0.014
14 H 0.385 0.864 0.486
15 H 0.392 0.608 0.750
16 H 0.608 0.392 0.250
17 H 0.615 0.136 0.514
18 H 0.615 0.136 0.986
19 H 0.864 0.385 0.514
20 H 0.864 0.385 0.986
21 H 0.869 0.875 0.750
22 H 0.875 0.869 0.250

***

(3)
The following is a calculated powder XRD pattern of Ti3ZnH. It was derived from DFT lattice parameters and positions (GGA-PBE), using Cu Ka.
Neutral-atom scattering factors, no anomalous dispersion.

Main lines, low angle first (2θ from 10° to 90°):
- 34.1°, I = 14
- 34.5°, I = 19
- 37.4°, I = 15
- 39.8°, I = 100
- 40.4°, I = 27
- 42.7°, I = 8
- 61.1°, I = 21
- 73.0°, I = 14
- 75.4°, I = 13
- 75.8°, I = 21

Structure:
a = 3.034 Å, b = 3.034 Å, c = 17.876 Å
α = 90.00°, β = 90.00°, γ = 120.00°
Fractional positions:
1 Ti 0.000 0.000 0.250
2 Ti 0.000 0.000 0.750
3 Ti 0.333 0.667 0.123
4 Ti 0.333 0.667 0.377
5 Ti 0.667 0.333 0.623
6 Ti 0.667 0.333 0.877
7 Zn 0.000 0.000 0.000
8 Zn 0.000 0.000 0.500
9 H 0.333 0.667 0.250
10 H 0.667 0.333 0.750

***

(4)
The following is a calculated powder XRD pattern of Ti3ZnH2. It was derived from DFT lattice parameters and positions (GGA-PBE), using Cu Ka.
Neutral-atom scattering factors, no anomalous dispersion.

Main lines, low angle first (2θ from 10° to 90°):
- 38.2°, I = 100
- 38.9°, I = 58
- 47.8°, I = 33
- 51.9°, I = 8
- 62.8°, I = 26
- 69.0°, I = 15
- 69.5°, I = 10
- 81.7°, I = 9
- 82.2°, I = 11
- 83.5°, I = 17

Structure:
a = 5.443 Å, b = 5.443 Å, c = 2.657 Å
α = 90.00°, β = 90.00°, γ = 120.00°
Fractional positions:
1 Ti 0.000 0.500 0.000
2 Ti 0.500 0.000 0.000
3 Ti 0.500 0.500 0.000
4 Zn 0.000 0.000 0.500
5 H 0.333 0.667 0.500
6 H 0.667 0.333 0.500

***

(5)
The following is a calculated powder XRD pattern of Ti3ZnH. It was derived from DFT lattice parameters and positions (GGA-PBE), using Cu Ka.
Neutral-atom scattering factors, no anomalous dispersion.

Main lines, low angle first (2θ from 10° to 90°):
- 38.4°, I = 100
- 38.7°, I = 97
- 42.6°, I = 74
- 48.9°, I = 24
- 61.5°, I = 11
- 62.3°, I = 11
- 66.8°, I = 34
- 75.0°, I = 23
- 75.6°, I = 23
- 82.2°, I = 9

Structure:
a = 4.772 Å, b = 6.034 Å, c = 4.777 Å
α = 90.00°, β = 102.69°, γ = 90.00°
Fractional positions:
1 Ti 0.246 0.000 0.267
2 Ti 0.249 0.745 0.754
3 Ti 0.252 0.259 0.754
4 Ti 0.748 0.259 0.246
5 Ti 0.751 0.745 0.246
6 Ti 0.754 0.000 0.733
7 Zn 0.258 0.508 0.262
8 Zn 0.742 0.508 0.738
9 H 0.000 0.181 0.000
10 H 0.500 0.999 0.000